(1)
For MgZrS3O12, a crystal structure in the Materials Project, relaxed with GGA-PBE gives the computed X-ray powder pattern in this record (Cu Kα X-rays).
Lines closer than 0.1° are merged.

Cell and atoms:
```
data_MgZrS3O12
_chemical_formula_sum 'Mg6 Zr6 S18 O72'
_cell_length_a 8.8471
_cell_length_b 8.8471
_cell_length_c 22.7127
_cell_angle_alpha 90.00
_cell_angle_beta 90.00
_cell_angle_gamma 120.00
_symmetry_space_group_name_H-M 'R 3 c'
_symmetry_Int_Tables_number 161
_symmetry_space_group_name_Hall 'R 3 -2"c'
loop_
_atom_site_label
_atom_site_type_symbol
_atom_site_fract_x
_atom_site_fract_y
_atom_site_fract_z
Mg1 Mg 0.0000 0.0000 0.0000
Zr1 Zr 0.0000 0.0000 0.2908
S1 S 0.0466 0.3733 0.0641
O1 O 0.0235 0.2010 0.0537
O2 O 0.0313 0.2100 0.3438
O3 O 0.1538 0.4581 0.1156
O4 O 0.1555 0.4632 0.4044
```

Main lines, in order of rising 2θ (2θ from 10° to 80°):
| h k l | two_theta | I_rel |
| --- | --- | --- |
| 0 1 2 | 13.94 | 69 |
| 1 0 4 | 19.46 | 45 |
| 1 1 0 | 20.07 | 15 |
| 1 1 3 | 23.29 | 100 |
| 0 2 4 | 28.10 | 38 |
| 1 1 6 | 31.10 | 51 |
| 3 0 0 | 35.14 | 15 |
| 2 2 6 | 47.62 | 15 |
| 2 1 10 | 51.11 | 16 |
| 4 1 0 | 54.92 | 12 |

---

(2)
For MgSb4O8, a crystal structure in the Materials Project, relaxed with GGA-PBE gives the computed X-ray powder pattern in this record (Cu Kα X-rays).
Lines closer than 0.1° are merged.

Cell and atoms:
```
data_MgSb4O8
_chemical_formula_sum 'Mg1 Sb4 O8'
_cell_length_a 3.247
_cell_length_b 8.146
_cell_length_c 8.487
_cell_angle_alpha 111.77
_cell_angle_beta 96.61
_cell_angle_gamma 95.11
_symmetry_space_group_name_H-M 'P 1'
_symmetry_Int_Tables_number 1
_symmetry_space_group_name_Hall 'P 1'
loop_
_atom_site_label
_atom_site_type_symbol
_atom_site_fract_x
_atom_site_fract_y
_atom_site_fract_z
Mg1 Mg 0.000 0.000 0.000
Sb1 Sb 0.043 0.980 0.352
Sb2 Sb 0.341 0.697 0.609
Sb3 Sb 0.632 0.347 0.218
Sb4 Sb 0.807 0.355 0.765
O1 O 0.105 0.200 0.271
O2 O 0.145 0.469 0.168
O3 O 0.323 0.490 0.715
O4 O 0.493 0.916 0.170
O5 O 0.523 0.151 0.988
O6 O 0.675 0.150 0.543
O7 O 0.746 0.507 0.463
O8 O 0.907 0.788 0.784
```

Main lines, in order of rising 2θ (2θ from 10° to 80°):
| h k l | two_theta | I_rel |
| --- | --- | --- |
| 0 0 1 | 11.37 | 34 |
| 0 1 1 | 19.36 | 65 |
| 0 2 -1 | 22.03 | 40 |
| 0 0 2 | 22.86 | 33 |
| 0 2 -2 | 25.90 | 100 |
| 0 1 2 | 29.68 | 47 |
| 1 -1 1 | 31.03 | 37 |
| 1 1 0 | 32.01 | 44 |
| 1 0 -2 | 33.34 | 33 |
| 1 -2 0 | 34.21 | 37 |

---

(3)
For Mg2Sb2O5, a crystal structure in the Materials Project, relaxed with GGA-PBE gives the computed X-ray powder pattern in this record (Cu Kα X-rays).
Lines closer than 0.1° are merged.

Cell and atoms:
```
data_Mg2Sb2O5
_chemical_formula_sum 'Mg4 Sb4 O10'
_cell_length_a 7.903
_cell_length_b 12.735
_cell_length_c 3.169
_cell_angle_alpha 90.00
_cell_angle_beta 90.00
_cell_angle_gamma 90.00
_symmetry_space_group_name_H-M 'P b a m'
_symmetry_Int_Tables_number 55
_symmetry_space_group_name_Hall '-P 2 2ab'
loop_
_atom_site_label
_atom_site_type_symbol
_atom_site_fract_x
_atom_site_fract_y
_atom_site_fract_z
Mg1 Mg 0.084 0.098 0.000
Sb1 Sb 0.215 0.330 0.500
O1 O 0.000 0.000 0.500
O2 O 0.129 0.816 0.000
O3 O 0.182 0.180 0.500
```

Main lines, in order of rising 2θ (2θ from 10° to 80°):
| h k l | two_theta | I_rel |
| --- | --- | --- |
| 0 2 0 | 13.91 | 64 |
| 1 2 0 | 17.89 | 100 |
| 2 0 0 | 22.50 | 42 |
| 2 1 0 | 23.57 | 22 |
| 2 2 0 | 26.55 | 35 |
| 0 0 1 | 28.16 | 25 |
| 1 4 0 | 30.26 | 49 |
| 1 2 1 | 33.56 | 49 |
| 2 0 1 | 36.34 | 37 |
| 3 2 0 | 36.93 | 20 |

---

(4)
For MgSb2O, a crystal structure in the Materials Project, relaxed with GGA-PBE gives the computed X-ray powder pattern in this record (Cu Kα X-rays).
Lines closer than 0.1° are merged.

Cell and atoms:
```
data_MgSb2O
_chemical_formula_sum 'Mg12 Sb24 O12'
_cell_length_a 9.389
_cell_length_b 16.210
_cell_length_c 7.060
_cell_angle_alpha 90.00
_cell_angle_beta 90.81
_cell_angle_gamma 90.00
_symmetry_space_group_name_H-M 'C 1 2/m 1'
_symmetry_Int_Tables_number 12
_symmetry_space_group_name_Hall '-C 2y'
loop_
_atom_site_label
_atom_site_type_symbol
_atom_site_fract_x
_atom_site_fract_y
_atom_site_fract_z
Mg1 Mg 0.163 0.163 0.461
Mg2 Mg 0.172 0.500 0.462
Sb1 Sb 0.000 0.000 0.000
Sb2 Sb 0.000 0.000 0.500
Sb3 Sb 0.000 0.333 0.000
Sb4 Sb 0.000 0.333 0.500
Sb5 Sb 0.160 0.500 0.045
Sb6 Sb 0.171 0.170 0.044
O1 O 0.091 0.091 0.658
O2 O 0.179 0.000 0.343
```

Main lines, in order of rising 2θ (2θ from 10° to 80°):
| h k l | two_theta | I_rel |
| --- | --- | --- |
| 0 0 1 | 12.54 | 31 |
| 1 3 0 | 18.94 | 14 |
| 1 3 -1 | 22.71 | 14 |
| 0 0 2 | 25.23 | 57 |
| 3 3 0 | 33.11 | 100 |
| 0 6 1 | 35.62 | 14 |
| 3 3 -2 | 41.79 | 31 |
| 0 6 2 | 42.12 | 31 |
| 3 3 2 | 42.32 | 30 |
| 6 0 2 | 65.58 | 13 |

---

(5)
For Mg3Sb2O7, a crystal structure in the Materials Project, relaxed with GGA-PBE gives the computed X-ray powder pattern in this record (Cu Kα X-rays).
Lines closer than 0.1° are merged.

Cell and atoms:
```
data_Mg3Sb2O7
_chemical_formula_sum 'Mg12 Sb8 O28'
_cell_length_a 18.848
_cell_length_b 5.522
_cell_length_c 5.572
_cell_angle_alpha 90.00
_cell_angle_beta 90.00
_cell_angle_gamma 90.00
_symmetry_space_group_name_H-M 'C m c 21'
_symmetry_Int_Tables_number 36
_symmetry_space_group_name_Hall 'C 2c -2'
loop_
_atom_site_label
_atom_site_type_symbol
_atom_site_fract_x
_atom_site_fract_y
_atom_site_fract_z
Mg1 Mg 0.000 0.244 0.000
Mg2 Mg 0.201 0.292 0.058
Sb1 Sb 0.105 0.237 0.507
O1 O 0.000 0.087 0.665
O2 O 0.082 0.425 0.162
O3 O 0.144 0.082 0.816
O4 O 0.207 0.361 0.432
```

Main lines, in order of rising 2θ (2θ from 10° to 80°):
| h k l | two_theta | I_rel |
| --- | --- | --- |
| 4 0 0 | 18.83 | 44 |
| 1 1 1 | 23.16 | 72 |
| 3 1 1 | 26.80 | 20 |
| 0 0 2 | 32.13 | 29 |
| 0 2 0 | 32.43 | 25 |
| 5 1 1 | 32.96 | 100 |
| 0 2 2 | 46.30 | 26 |
| 9 1 1 | 49.33 | 18 |
| 5 1 3 | 57.80 | 25 |
| 5 3 1 | 58.18 | 27 |

---

(6)
For MgSb4O8, a crystal structure in the Materials Project, relaxed with GGA-PBE gives the computed X-ray powder pattern in this record (Cu Kα X-rays).
Lines closer than 0.1° are merged.

Cell and atoms:
```
data_MgSb4O8
_chemical_formula_sum 'Mg2 Sb8 O16'
_cell_length_a 17.605
_cell_length_b 3.176
_cell_length_c 9.788
_cell_angle_alpha 90.00
_cell_angle_beta 116.45
_cell_angle_gamma 90.00
_symmetry_space_group_name_H-M 'C 1 m 1'
_symmetry_Int_Tables_number 8
_symmetry_space_group_name_Hall 'C -2y'
loop_
_atom_site_label
_atom_site_type_symbol
_atom_site_fract_x
_atom_site_fract_y
_atom_site_fract_z
Mg1 Mg 0.000 0.000 0.000
Sb1 Sb 0.044 0.000 0.698
Sb2 Sb 0.045 0.500 0.341
Sb3 Sb 0.305 0.500 0.995
Sb4 Sb 0.363 0.000 0.681
O1 O 0.035 0.500 0.134
O2 O 0.041 0.500 0.560
O3 O 0.127 0.000 0.422
O4 O 0.231 0.000 0.883
O5 O 0.369 0.500 0.869
O6 O 0.412 0.500 0.593
O7 O 0.462 0.500 0.290
O8 O 0.488 0.000 0.835
```

Main lines, in order of rising 2θ (2θ from 10° to 80°):
| h k l | two_theta | I_rel |
| --- | --- | --- |
| 0 0 1 | 10.09 | 43 |
| 2 0 0 | 11.24 | 85 |
| 2 0 1 | 18.22 | 100 |
| 4 0 0 | 22.57 | 47 |
| 4 0 -3 | 28.82 | 23 |
| 0 0 3 | 30.61 | 29 |
| 6 0 -2 | 30.91 | 24 |
| 1 1 1 | 31.32 | 37 |
| 3 1 -1 | 32.15 | 44 |
| 1 1 -2 | 33.82 | 23 |